Entry 1:
For Rb3ScF6, a crystal structure in the Materials Project, relaxed with GGA-PBE gives the computed X-ray powder pattern in this record (CuKα).
Intensities are scaled so that the largest is 100.

Most intense lines, 15 to 90 degrees two-theta, in order of rising 2θ:
| Position (°2θ) | I/Imax |
| --- | --- |
| 26.96 | 100 |
| 27.29 | 64 |
| 38.02 | 24 |
| 38.97 | 35 |
| 47.43 | 25 |
| 48.03 | 49 |
| 55.58 | 22 |
| 76.62 | 17 |

Atomic structure:
Unit cell a=6.5365 b=6.5365 c=9.4665 alpha=90.00 beta=90.00 gamma=90.00
Space group P4/mnc (No. 128)
One atom of each set of equivalent atoms:
Rb  0.0000  0.0000  0.0000 x2
Rb  0.0000  0.5000  0.2500 x4
Sc  0.0000  0.0000  0.5000 x2
F  0.0000  0.0000  0.2842 x4
F  0.1428  0.2774  0.5000 x8

***

Entry 2:
For Rb3ScF6, a crystal structure in the Materials Project, relaxed with GGA-PBE gives the computed X-ray powder pattern in this record (CuKα).
Intensities are scaled so that the largest is 100.

Most intense lines, 15 to 90 degrees two-theta, in order of rising 2θ:
| Position (°2θ) | I/Imax |
| --- | --- |
| 26.81 | 100 |
| 32.99 | 12 |
| 38.27 | 43 |
| 47.34 | 38 |
| 55.24 | 26 |
| 62.44 | 21 |
| 75.66 | 22 |
| 88.12 | 10 |

Atomic structure:
Unit cell a=9.4064 b=9.4064 c=9.4064 alpha=90.00 beta=90.00 gamma=90.00
Space group Fm-3m (No. 225)
One atom of each set of equivalent atoms:
Rb  0.0000  0.0000  0.0000 x4
Rb  0.2500  0.2500  0.2500 x8
Sc  0.0000  0.0000  0.5000 x4
F  0.0000  0.0000  0.2835 x24

***

Entry 3:
For Rb3SiF7, a crystal structure in the Materials Project, relaxed with GGA-PBE gives the computed X-ray powder pattern in this record (CuKα).
Intensities are scaled so that the largest is 100.

Most intense lines, 15 to 90 degrees two-theta, in order of rising 2θ:
| Position (°2θ) | I/Imax |
| --- | --- |
| 24.56 | 19 |
| 26.68 | 100 |
| 28.90 | 24 |
| 30.27 | 29 |
| 31.21 | 41 |
| 35.01 | 30 |
| 39.36 | 43 |
| 44.04 | 28 |

Atomic structure:
Unit cell a=8.1058 b=8.1058 c=5.9048 alpha=90.00 beta=90.00 gamma=90.00
Space group P4/mbm (No. 127)
One atom of each set of equivalent atoms:
Rb  0.0000  0.0000  0.0000 x2
Rb  0.1951  0.3049  0.5000 x4
Si  0.0000  0.5000  0.0000 x2
F  0.0000  0.0000  0.5000 x2
F  0.1055  0.6055  0.2076 x8
F  0.1499  0.3501  0.0000 x4

***

Entry 4:
For Rb2SnF6, a crystal structure in the Materials Project, relaxed with GGA-PBE gives the computed X-ray powder pattern in this record (CuKα).
Intensities are scaled so that the largest is 100.

Most intense lines, 15 to 90 degrees two-theta, in order of rising 2θ:
| Position (°2θ) | I/Imax |
| --- | --- |
| 24.26 | 100 |
| 29.03 | 55 |
| 38.18 | 62 |
| 39.42 | 29 |
| 48.67 | 28 |
| 49.70 | 22 |
| 58.59 | 22 |
| 62.83 | 18 |

Atomic structure:
Unit cell a=6.1520 b=6.1520 c=5.0607 alpha=90.00 beta=90.00 gamma=120.00
Space group P-3m1 (No. 164)
One atom of each set of equivalent atoms:
Rb  0.3333  0.6667  0.3172 x2
Sn  0.0000  0.0000  0.0000 x1
F  0.1569  0.3139  0.7789 x6

***

Entry 5:
For Rb2SnF6, a crystal structure in the Materials Project, relaxed with GGA-PBE gives the computed X-ray powder pattern in this record (CuKα).
Intensities are scaled so that the largest is 100.

Most intense lines, 15 to 90 degrees two-theta, in order of rising 2θ:
| Position (°2θ) | I/Imax |
| --- | --- |
| 16.99 | 67 |
| 27.92 | 100 |
| 32.87 | 26 |
| 39.90 | 46 |
| 49.40 | 40 |
| 57.70 | 28 |
| 65.30 | 21 |
| 79.34 | 24 |

Atomic structure:
Unit cell a=9.0376 b=9.0376 c=9.0376 alpha=90.00 beta=90.00 gamma=90.00
Space group Fm-3m (No. 225)
One atom of each set of equivalent atoms:
Rb  0.2500  0.2500  0.2500 x8
Sn  0.0000  0.0000  0.0000 x4
F  0.0000  0.0000  0.2217 x24

***

Entry 6:
For RbTbF5, a crystal structure in the Materials Project, relaxed with GGA-PBE gives the computed X-ray powder pattern in this record (CuKα).
Intensities are scaled so that the largest is 100.

Most intense lines, 15 to 90 degrees two-theta, in order of rising 2θ:
| Position (°2θ) | I/Imax |
| --- | --- |
| 24.88 | 54 |
| 25.04 | 49 |
| 25.16 | 100 |
| 27.57 | 42 |
| 29.63 | 30 |
| 29.80 | 28 |
| 40.88 | 30 |
| 47.36 | 24 |

Atomic structure:
Unit cell a=7.7392 b=8.8583 c=11.4692 alpha=77.07 beta=74.44 gamma=69.44
Space group P-1 (No. 2)
One atom of each set of equivalent atoms:
Rb  0.2240  0.4993  0.2662 x2
Rb  0.2310  0.1641  0.5700 x2
Rb  0.2595  0.8360  0.9210 x2
Tb  0.2164  0.0340  0.2424 x2
Tb  0.2282  0.3387  0.9467 x2
Tb  0.2389  0.6804  0.5943 x2
F  0.0801  0.2402  0.3587 x2
F  0.0889  0.5641  0.0425 x2
F  0.1073  0.8949  0.7039 x2
F  0.1334  0.1225  0.0568 x2
F  0.1499  0.8264  0.1954 x2
F  0.1540  0.5112  0.5222 x2
F  0.1895  0.2030  0.8105 x2
F  0.1977  0.8690  0.4276 x2
F  0.2215  0.5313  0.7786 x2
F  0.3385  0.2340  0.1237 x2
F  0.4552  0.0363  0.3347 x2
F  0.4848  0.4479  0.9338 x2
F  0.4876  0.7426  0.6213 x2
F  0.4915  0.8391  0.1530 x2
F  0.4948  0.5753  0.4220 x2

***

Entry 7:
For RbTb3F10, a crystal structure in the Materials Project, relaxed with GGA-PBE gives the computed X-ray powder pattern in this record (CuKα).
Intensities are scaled so that the largest is 100.

Most intense lines, 15 to 90 degrees two-theta, in order of rising 2θ:
| Position (°2θ) | I/Imax |
| --- | --- |
| 26.20 | 100 |
| 30.35 | 42 |
| 43.45 | 48 |
| 51.45 | 56 |
| 53.92 | 13 |
| 69.57 | 20 |
| 71.65 | 14 |
| 79.76 | 16 |

Atomic structure:
Unit cell a=11.7810 b=11.7810 c=11.7810 alpha=90.00 beta=90.00 gamma=90.00
Space group Fm-3m (No. 225)
One atom of each set of equivalent atoms:
Rb  0.2500  0.2500  0.2500 x8
Tb  0.0000  0.0000  0.2403 x24
F  0.0000  0.1647  0.3353 x48
F  0.1105  0.1105  0.1105 x32

***

Entry 8:
For Rb3TbF6, a crystal structure in the Materials Project, relaxed with GGA-PBE gives the computed X-ray powder pattern in this record (CuKα).
Intensities are scaled so that the largest is 100.

Most intense lines, 15 to 90 degrees two-theta, in order of rising 2θ:
| Position (°2θ) | I/Imax |
| --- | --- |
| 15.30 | 28 |
| 24.56 | 97 |
| 25.39 | 100 |
| 35.01 | 27 |
| 37.38 | 21 |
| 43.74 | 60 |
| 45.24 | 35 |
| 52.15 | 17 |

Atomic structure:
Unit cell a=7.2488 b=7.2488 c=9.6231 alpha=90.00 beta=90.00 gamma=90.00
Space group I4/mmm (No. 139)
One atom of each set of equivalent atoms:
Rb  0.0000  0.0000  0.0000 x2
Rb  0.0000  0.5000  0.2500 x4
Tb  0.0000  0.0000  0.5000 x2
F  0.0000  0.0000  0.2688 x4
F  0.0000  0.3022  0.5000 x8

***

Entry 9:
For Rb7Th6F32, a crystal structure in the Materials Project, relaxed with GGA-PBE gives the computed X-ray powder pattern in this record (CuKα).
Intensities are scaled so that the largest is 100.

Most intense lines, 15 to 90 degrees two-theta, in order of rising 2θ:
| Position (°2θ) | I/Imax |
| --- | --- |
| 24.06 | 36 |
| 24.92 | 100 |
| 28.61 | 56 |
| 40.35 | 39 |
| 41.44 | 39 |
| 47.53 | 24 |
| 48.49 | 39 |
| 48.97 | 17 |

Atomic structure:
Unit cell a=9.7931 b=9.7963 c=9.7981 alpha=106.62 beta=106.66 gamma=106.59
Space group P1 (No. 1)
One atom of each set of equivalent atoms:
Rb  0.0000  0.0000  0.0000 x1
Rb  0.0745  0.6817  0.2169 x1
Rb  0.1533  0.3648  0.4349 x1
Rb  0.2936  0.7595  0.9006 x1
Rb  0.3933  0.4645  0.1413 x1
Rb  0.7594  0.8990  0.2945 x1
Rb  0.8593  0.6055  0.5345 x1
Th  0.2163  0.0636  0.6754 x1
Th  0.4566  0.1398  0.3568 x1
Th  0.5337  0.8216  0.5979 x1
Th  0.6178  0.5431  0.8364 x1
Th  0.6953  0.2236  0.0783 x1
Th  0.9374  0.3016  0.7600 x1
F  0.0214  0.1582  0.5765 x1
F  0.0224  0.8604  0.4640 x1
F  0.0493  0.4637  0.6646 x1
F  0.1042  0.9018  0.7708 x1
F  0.1304  0.5050  0.9719 x1
F  0.1321  0.2074  0.8595 x1
F  0.2495  0.0974  0.4503 x1
F  0.2532  0.9281  0.1634 x1
F  0.2943  0.2351  0.2448 x1
F  0.3097  0.8570  0.6325 x1
F  0.3216  0.6281  0.3952 x1
F  0.3741  0.3357  0.7584 x1
F  0.4231  0.1409  0.9200 x1
F  0.4344  0.6285  0.6937 x1
F  0.4879  0.0936  0.6271 x1
F  0.4897  0.9148  0.3910 x1
F  0.5217  0.6533  0.9987 x1
F  0.5337  0.3839  0.5639 x1
F  0.5526  0.0398  0.1636 x1
F  0.6000  0.3227  0.2718 x1
F  0.6172  0.9801  0.8704 x1
F  0.6295  0.7102  0.4358 x1
F  0.6570  0.2719  0.8113 x1
F  0.6659  0.4528  0.0471 x1
F  0.7174  0.7371  0.7405 x1
F  0.7284  0.2240  0.5174 x1
F  0.7760  0.0307  0.6755 x1
F  0.8301  0.7376  0.0376 x1
F  0.8404  0.5050  0.8011 x1
F  0.8579  0.1284  0.1900 x1
F  0.8992  0.4350  0.2718 x1
F  0.9004  0.2654  0.9820 x1

***

Entry 10:
For Rb7Th6F32, a crystal structure in the Materials Project, relaxed with GGA-PBE gives the computed X-ray powder pattern in this record (CuKα).
Intensities are scaled so that the largest is 100.

Most intense lines, 15 to 90 degrees two-theta, in order of rising 2θ:
| Position (°2θ) | I/Imax |
| --- | --- |
| 24.06 | 36 |
| 24.92 | 100 |
| 28.61 | 56 |
| 40.35 | 39 |
| 41.44 | 39 |
| 47.53 | 24 |
| 48.49 | 39 |
| 48.97 | 17 |

Atomic structure:
Unit cell a=9.7931 b=9.7963 c=9.7981 alpha=106.62 beta=106.66 gamma=106.59
Space group P-1 (No. 2)
One atom of each set of equivalent atoms:
Rb  0.0000  0.0000  0.0000 x1
Rb  0.0774  0.6825  0.2173 x2
Rb  0.2177  0.0773  0.6831 x2
Rb  0.3165  0.7832  0.9231 x2
Th  0.1385  0.3806  0.4575 x2
Th  0.3806  0.4586  0.1393 x2
Th  0.4581  0.1391  0.3812 x2
F  0.0266  0.2185  0.5530 x2
F  0.0545  0.8227  0.7544 x2
F  0.0562  0.5251  0.6419 x2
F  0.1736  0.4151  0.2328 x2
F  0.1767  0.2472  0.9457 x2
F  0.2180  0.5539  0.0276 x2
F  0.2338  0.1747  0.4149 x2
F  0.2458  0.9446  0.1799 x2
F  0.2999  0.6516  0.5420 x2
F  0.3472  0.4586  0.7025 x2
F  0.3585  0.9452  0.4771 x2
F  0.4120  0.4113  0.4095 x2
F  0.4138  0.2325  0.1734 x2
F  0.4458  0.9710  0.7811 x2
F  0.4578  0.7016  0.3464 x2
F  0.4759  0.3596  0.9458 x2

***

- Number 10 is which compound?
  Rb7Th6F32